Theoretical powder X-ray diffraction pattern
Compound: AgC4OF9
Radiation: Cu Kα (λ = 1.5418 Å)
Structure: DFT lattice parameters and positions (PBE)

Structure:
Lattice parameters (Å, degrees): 6.9878 10.3986 11.0240 84.87 89.36 88.04
Element x y z (fractional)
Ag (0.1890, 0.0300, 0.3236)
Ag (0.2985, 0.9088, 0.5830)
Ag (0.7015, 0.0912, 0.4170)
Ag (0.8110, 0.9700, 0.6764)
C (0.0018, 0.2034, 0.0632)
C (0.0456, 0.3572, 0.2314)
C (0.0776, 0.7554, 0.8107)
C (0.2907, 0.7027, 0.8299)
C (0.3209, 0.7072, 0.3341)
C (0.3386, 0.2720, 0.5864)
C (0.4315, 0.1661, 0.7977)
C (0.4942, 0.8008, 0.3374)
C (0.5058, 0.1992, 0.6626)
C (0.5685, 0.8339, 0.2023)
C (0.6614, 0.7280, 0.4136)
C (0.6791, 0.2928, 0.6659)
C (0.7093, 0.2973, 0.1701)
C (0.9224, 0.2446, 0.1893)
C (0.9544, 0.6428, 0.7686)
C (0.9982, 0.7966, 0.9368)
O (0.0726, 0.8602, 0.7247)
O (0.4419, 0.9132, 0.3903)
O (0.5581, 0.0868, 0.6097)
O (0.9274, 0.1398, 0.2753)
F (0.0090, 0.3746, 0.3499)
F (0.0134, 0.4718, 0.1652)
F (0.0331, 0.3052, 0.9810)
F (0.1222, 0.8746, 0.9859)
F (0.1713, 0.1350, 0.0787)
F (0.1920, 0.7552, 0.2485)
F (0.2040, 0.1868, 0.5584)
F (0.2259, 0.6977, 0.4428)
F (0.2360, 0.3256, 0.2224)
F (0.2475, 0.3650, 0.6451)
F (0.2531, 0.1177, 0.7973)
F (0.3146, 0.6208, 0.9312)
F (0.3512, 0.6396, 0.7326)
F (0.3755, 0.5865, 0.3093)
F (0.4067, 0.3267, 0.4787)
F (0.4096, 0.8027, 0.8375)
F (0.4240, 0.2702, 0.8631)
F (0.4527, 0.9257, 0.1429)
F (0.5473, 0.0743, 0.8571)
F (0.5760, 0.7298, 0.1369)
F (0.5904, 0.1973, 0.1625)
F (0.5933, 0.6733, 0.5213)
F (0.6245, 0.4135, 0.6907)
F (0.6488, 0.3604, 0.2674)
F (0.6854, 0.3792, 0.0688)
F (0.7469, 0.8823, 0.2027)
F (0.7525, 0.6350, 0.3549)
F (0.7640, 0.6744, 0.7776)
F (0.7741, 0.3023, 0.5572)
F (0.7960, 0.8132, 0.4416)
F (0.8080, 0.2448, 0.7515)
F (0.8287, 0.8650, 0.9213)
F (0.8778, 0.1254, 0.0141)
F (0.9669, 0.6948, 0.0190)
F (0.9866, 0.5282, 0.8348)
F (0.9910, 0.6254, 0.6501)

Principal peaks in the range 10° ≤ 2θ ≤ 90°, in order of rising 2θ:
| two_theta | Rel. int. |
| --- | --- |
| 11.2 | 100 |
| 21.9 | 43 |
| 26.3 | 57 |
| 26.9 | 65 |
| 27.4 | 41 |
| 28.9 | 36 |
| 35.2 | 45 |
| 36.1 | 40 |
| 36.9 | 57 |
| 39.8 | 38 |


Theoretical powder X-ray diffraction pattern
Compound: NaPdN
Radiation: Cu Kα (λ = 1.5418 Å)
Structure: DFT lattice parameters and positions (PBE)

Structure:
Lattice parameters (Å, degrees): 3.1163 3.1163 10.5466 90.00 90.00 120.00
Element x y z (fractional)
Na (0.3333, 0.6667, 0.0000)
Na (0.6667, 0.3333, 0.5000)
Pd (0.0000, 0.0000, 0.2506)
Pd (0.0000, 0.0000, 0.7506)
N (0.3333, 0.6667, 0.3428)
N (0.6667, 0.3333, 0.8428)

Principal peaks in the range 10° ≤ 2θ ≤ 90°, in order of rising 2θ:
| two_theta | Rel. int. |
| --- | --- |
| 16.8 | 75 |
| 33.2 | 40 |
| 34.0 | 24 |
| 37.4 | 100 |
| 48.3 | 35 |
| 59.3 | 18 |
| 62.1 | 13 |
| 63.1 | 23 |
| 70.2 | 17 |
| 72.3 | 14 |